Record 1
The following is a simulated powder XRD pattern of Tb3Dy4Tm5. It was derived from DFT lattice parameters and positions (PBE), using Cu Kα, 1.54184 Å.

Cell and atoms:
```
Tb3Dy4Tm5
1.0
7.9065 -2.9117 0.0000
7.9065 2.9117 0.0000
-4.0791 0.0000 8.2333
Tb Dy Tm
3 4 5
Direct
0.0000 0.0000 0.0000
0.2905 0.2905 0.7665
0.7095 0.7095 0.2335
0.2876 0.2876 0.1207
0.4184 0.4184 0.5588
0.5816 0.5816 0.4412
0.7124 0.7124 0.8793
0.0725 0.0725 0.6988
0.1724 0.1724 0.3861
0.5000 0.5000 0.0000
0.8276 0.8276 0.6139
0.9275 0.9275 0.3012
```

Largest 6 diffraction maxima, by intensity, 10° ≤ 2θ ≤ 90°:
two_theta, Rel. int.
30.7, 100
33.1, 73
34.1, 61
32.4, 54
29.5, 40
31.6, 37

Record 2
The following is a simulated powder XRD pattern of Ca2BeTeO6. It was derived from DFT lattice parameters and positions (PBE), using Cu Kα, 1.54184 Å.

Cell and atoms:
```
Ca2BeTeO6
1.0
5.1156 0.0000 0.0000
0.0000 5.1156 0.0000
0.0000 0.0000 4.7495
Ca Be Te O
2 1 1 6
Direct
0.0000 0.5000 0.0000
0.5000 0.0000 0.0000
0.0000 0.0000 0.5050
0.5000 0.5000 0.5592
0.0000 0.0000 0.1833
0.2464 0.2464 0.6641
0.2464 0.7536 0.6641
0.5000 0.5000 0.1599
0.7536 0.2464 0.6641
0.7536 0.7536 0.6641
```

Largest 6 diffraction maxima, by intensity, 10° ≤ 2θ ≤ 90°:
two_theta, Rel. int.
31.1, 100
17.3, 75
25.6, 59
35.1, 32
50.5, 31
43.9, 29

Record 3
The following is a simulated powder XRD pattern of Pr8DyHo2. It was derived from DFT lattice parameters and positions (PBE), using Cu Kα, 1.54184 Å.

Cell and atoms:
```
Pr8DyHo2
1.0
4.6139 -8.3435 0.0000
4.6139 8.3435 0.0000
-3.3211 0.0000 5.0462
Pr Dy Ho
8 1 2
Direct
0.0977 0.3343 0.6793
0.2056 0.7944 0.0000
0.3343 0.0977 0.6793
0.4210 0.4210 0.2040
0.5790 0.5790 0.7960
0.6657 0.9023 0.3207
0.7944 0.2056 0.0000
0.9023 0.6657 0.3207
0.0000 0.0000 0.0000
0.3100 0.6900 0.5000
0.6900 0.3100 0.5000
```

Largest 6 diffraction maxima, by intensity, 10° ≤ 2θ ≤ 90°:
two_theta, Rel. int.
30.7, 100
29.6, 73
31.6, 54
30.5, 42
29.8, 34
59.0, 28

Record 4
The following is a simulated powder XRD pattern of Ac4Co2Au. It was derived from DFT lattice parameters and positions (PBE), using Cu Kα, 1.54184 Å.

Cell and atoms:
```
Ac4Co2Au
1.0
2.1295 -6.9761 0.0000
2.1295 6.9761 0.0000
0.0000 0.0000 14.3860
Ac Co Au
8 4 2
Direct
0.0000 0.0000 0.0000
0.0000 0.0000 0.5000
0.2688 0.7312 0.6108
0.2688 0.7312 0.8892
0.4417 0.5583 0.2500
0.5583 0.4417 0.7500
0.7312 0.2688 0.1108
0.7312 0.2688 0.3892
0.3707 0.6293 0.0644
0.3707 0.6293 0.4356
0.6293 0.3707 0.5644
0.6293 0.3707 0.9356
0.1148 0.8852 0.2500
0.8852 0.1148 0.7500
```

Largest 6 diffraction maxima, by intensity, 10° ≤ 2θ ≤ 90°:
two_theta, Rel. int.
29.1, 100
27.9, 84
28.8, 61
31.1, 54
51.6, 36
42.4, 31

Record 5
The following is a simulated powder XRD pattern of Y5Bi3. It was derived from DFT lattice parameters and positions (PBE), using Cu Kα, 1.54184 Å.

Cell and atoms:
```
Y5Bi3
1.0
8.2811 0.0000 0.0000
0.0000 9.5418 0.0000
0.0000 0.0000 12.0855
Y Bi
20 12
Direct
0.0258 0.2500 0.0112
0.1460 0.7500 0.2857
0.1863 0.2500 0.2806
0.1939 0.0620 0.5589
0.1939 0.4380 0.5589
0.3061 0.5620 0.0589
0.3061 0.9380 0.0589
0.3137 0.7500 0.7806
0.3540 0.2500 0.7857
0.4742 0.7500 0.5112
0.5258 0.2500 0.4888
0.6460 0.7500 0.2143
0.6863 0.2500 0.2194
0.6939 0.0620 0.9411
0.6939 0.4380 0.9411
0.8061 0.5620 0.4411
0.8061 0.9380 0.4411
0.8137 0.7500 0.7194
0.8540 0.2500 0.7143
0.9742 0.7500 0.9888
0.0660 0.0041 0.8258
0.0660 0.4959 0.8258
0.0901 0.7500 0.5424
0.4099 0.2500 0.0424
0.4340 0.5041 0.3258
0.4340 0.9959 0.3258
0.5660 0.0041 0.6742
0.5660 0.4959 0.6742
0.5901 0.7500 0.9576
0.9099 0.2500 0.4576
0.9340 0.5041 0.1742
0.9340 0.9959 0.1742
```

Largest 6 diffraction maxima, by intensity, 10° ≤ 2θ ≤ 90°:
two_theta, Rel. int.
31.0, 100
32.2, 70
29.5, 67
22.7, 53
31.5, 49
37.7, 47

Record 6
The following is a simulated powder XRD pattern of Na3CoN4. It was derived from DFT lattice parameters and positions (PBE), using Cu Kα, 1.54184 Å.

Cell and atoms:
```
Na3CoN4
1.0
6.4496 -2.0258 0.0000
6.4496 2.0258 0.0000
-1.2249 0.0000 3.7901
Na Co N
3 1 4
Direct
0.0000 0.0000 0.0000
0.1891 0.1891 0.6888
0.8109 0.8109 0.3112
0.5000 0.5000 0.5000
0.3874 0.3874 0.0496
0.3874 0.3874 0.7263
0.6126 0.6126 0.2737
0.6126 0.6126 0.9504
```

Largest 6 diffraction maxima, by intensity, 10° ≤ 2θ ≤ 90°:
two_theta, Rel. int.
34.8, 100
14.4, 60
43.4, 46
23.1, 45
44.7, 29
43.3, 22